Theoretical powder diffraction line list of Li2Ga4Cu3 for Cu Kα, from a cell relaxed with GGA-PBE.
Peak positions follow from Bragg's law for the DFT cell and can differ from measured ones.

Peak list (10 most intense, 10° ≤ 2θ ≤ 80°, in order of rising 2θ)
| 2theta | intensity | (hkl) |
| --- | --- | --- |
| 17.2 | 44 | 0 2 1 |
| 21.5 | 73 | 1 1 1 |
| 27.4 | 21 | 0 4 1 |
| 37.4 | 40 | 1 5 1 |
| 38.1 | 19 | 2 2 1 |
| 41.9 | 100 | 2 0 2 |
| 44.9 | 66 | 0 6 2 |
| 49.5 | 28 | 0 0 4 |
| 51.1 | 44 | 2 6 0 |
| 73.9 | 28 | 2 6 4 |

Crystal structure
```
data_Li2Ga4Cu3
_symmetry_space_group_name_H-M 'C m c e'
_symmetry_Int_Tables_number 64
_symmetry_space_group_name_Hall '-C 2ac 2'
_cell_length_a 5.3109
_cell_length_b 14.4861
_cell_length_c 7.3664
_cell_angle_alpha 90.00
_cell_angle_beta 90.00
_cell_angle_gamma 90.00
loop_
_atom_site_label
_atom_site_type_symbol
_atom_site_fract_x
_atom_site_fract_y
_atom_site_fract_z
Li1 Li 0.0000 0.1020 0.1047
Ga1 Ga 0.0000 0.1781 0.4882
Ga2 Ga 0.2500 0.0669 0.7500
Cu1 Cu 0.0000 0.0000 0.5000
Cu2 Cu 0.2500 0.2429 0.7500
```